AcMgZr: theoretical X-ray powder pattern (copper Kα), based on a structure optimized by DFT (PBE).
Neutral-atom scattering factors, no anomalous dispersion.

Peak list (10 most intense, 2θ = 15–90°, in order of falling intensity)
31.60°, rel. 100, hkl 1 0 3
25.69°, rel. 64, hkl 0 0 4
35.45°, rel. 38, hkl 1 1 0
61.25°, rel. 30, hkl 2 1 3
65.99°, rel. 21, hkl 2 0 6
53.68°, rel. 21, hkl 1 1 6
52.80°, rel. 18, hkl 1 0 7
57.97°, rel. 18, hkl 2 0 4
44.29°, rel. 15, hkl 1 1 4
87.92°, rel. 15, hkl 2 2 6

Structural model:
Lattice parameters (Å, degrees): 3.5812 3.5812 13.8723 90.00 90.00 90.00
Space group I4mm (No. 107)
Symmetry-distinct sites (fractional):
Ac  0.0000  0.0000  0.0000 [2 per cell]
Mg  0.0000  0.0000  0.6903 [2 per cell]
Zr  0.0000  0.0000  0.3230 [2 per cell]

Ac3Mn2N7: theoretical X-ray powder pattern (copper Kα), based on a structure optimized by DFT (PBE).
Neutral-atom scattering factors, no anomalous dispersion.

Peak list (10 most intense, 2θ = 15–90°, in order of falling intensity)
30.12°, rel. 100, hkl 1 5 0
33.15°, rel. 99, hkl 1 1 1
34.44°, rel. 91, hkl 0 6 1
38.91°, rel. 72, hkl 1 5 1
24.29°, rel. 60, hkl 0 6 0
24.05°, rel. 58, hkl 0 0 1
22.48°, rel. 47, hkl 1 1 0
57.17°, rel. 45, hkl 1 11 1
57.96°, rel. 42, hkl 2 6 1
58.81°, rel. 33, hkl 1 5 2

Structural model:
Lattice parameters (Å, degrees): 4.0200 21.9848 3.7009 90.00 90.00 90.00
Space group Cmmm (No. 65)
Symmetry-distinct sites (fractional):
Ac  0.0000  0.0000  0.0000 [2 per cell]
Ac  0.0000  0.1759  0.0000 [4 per cell]
Mn  0.0000  0.4024  0.5000 [4 per cell]
N  0.0000  0.0939  0.5000 [4 per cell]
N  0.0000  0.3141  0.5000 [4 per cell]
N  0.0000  0.4059  0.0000 [4 per cell]
N  0.0000  0.5000  0.5000 [2 per cell]

NaAc2Mn2N6: theoretical X-ray powder pattern (copper Kα), based on a structure optimized by DFT (PBE).
Neutral-atom scattering factors, no anomalous dispersion.

Peak list (10 most intense, 2θ = 15–90°, in order of falling intensity)
27.01°, rel. 100, hkl 1 0 1
20.57°, rel. 95, hkl 1 0 -1
30.30°, rel. 86, hkl 1 -2 1
31.37°, rel. 69, hkl 2 -1 0
30.76°, rel. 35, hkl 0 0 2
19.79°, rel. 28, hkl 0 1 0
41.85°, rel. 28, hkl 2 -2 2
33.84°, rel. 27, hkl 1 -2 0
40.23°, rel. 20, hkl 0 2 0
37.35°, rel. 20, hkl 2 0 0

Structural model:
Lattice parameters (Å, degrees): 5.7070 5.8986 6.7004 115.77 90.09 118.78
Space group P-1 (No. 2)
Symmetry-distinct sites (fractional):
Na  0.0000  0.0000  0.0000 [1 per cell]
Ac  0.2155  0.4304  0.7041 [2 per cell]
Mn  0.4784  0.9561  0.3128 [2 per cell]
N  0.1873  0.8585  0.6823 [2 per cell]
N  0.2931  0.5854  0.1446 [2 per cell]
N  0.3316  0.1435  0.3163 [2 per cell]

AcNd2MnN4: theoretical X-ray powder pattern (copper Kα), based on a structure optimized by DFT (PBE).
Neutral-atom scattering factors, no anomalous dispersion.

Peak list (10 most intense, 2θ = 15–90°, in order of falling intensity)
29.91°, rel. 100, hkl 1 1 2
29.46°, rel. 81, hkl 0 4 0
26.48°, rel. 75, hkl 0 2 3
34.29°, rel. 54, hkl 1 3 1
36.68°, rel. 53, hkl 1 3 2
50.75°, rel. 40, hkl 1 3 5
45.75°, rel. 27, hkl 1 1 5
47.75°, rel. 25, hkl 1 5 2
60.05°, rel. 22, hkl 2 4 0
42.14°, rel. 19, hkl 0 4 4

Structural model:
Lattice parameters (Å, degrees): 3.5777 12.1110 12.1504 90.00 90.00 90.00
Space group Cmcm (No. 63)
Symmetry-distinct sites (fractional):
Ac  0.0000  0.1002  0.2500 [4 per cell]
Nd  0.0000  0.3689  0.0456 [8 per cell]
Mn  0.0000  0.1698  0.7500 [4 per cell]
N  0.0000  0.0000  0.0000 [4 per cell]
N  0.0000  0.2693  0.6315 [8 per cell]
N  0.0000  0.4137  0.2500 [4 per cell]

AcPa3Mn4N12: theoretical X-ray powder pattern (copper Kα), based on a structure optimized by DFT (PBE).
Neutral-atom scattering factors, no anomalous dispersion.

Peak list (10 most intense, 2θ = 15–90°, in order of falling intensity)
27.46°, rel. 100, hkl 2 0 2
20.91°, rel. 58, hkl 0 2 1
31.87°, rel. 39, hkl 2 2 0
34.78°, rel. 36, hkl 1 3 1
53.46°, rel. 26, hkl 5 1 1
45.56°, rel. 24, hkl 0 2 4
26.30°, rel. 22, hkl 2 1 1
42.57°, rel. 19, hkl 0 4 2
15.78°, rel. 15, hkl 1 1 0
44.86°, rel. 14, hkl 2 2 3

Structural model:
Lattice parameters (Å, degrees): 11.2317 11.2317 8.7293 90.00 90.00 120.00
Space group R32 (No. 155, hexagonal axes)
Symmetry-distinct sites (fractional):
Ac  0.0000  0.0000  0.0000 [3 per cell]
Pa  0.0000  0.5507  0.0000 [9 per cell]
Mn  0.0000  0.0000  0.5000 [3 per cell]
Mn  0.0000  0.4485  0.5000 [9 per cell]
N  0.0000  0.6053  0.5000 [9 per cell]
N  0.0000  0.8442  0.5000 [9 per cell]
N  0.0334  0.2100  0.1806 [18 per cell]

Ac3PaMn2N6: theoretical X-ray powder pattern (copper Kα), based on a structure optimized by DFT (PBE).
Neutral-atom scattering factors, no anomalous dispersion.

Peak list (10 most intense, 2θ = 15–90°, in order of falling intensity)
29.96°, rel. 100, hkl 1 1 0
30.97°, rel. 97, hkl 0 1 2
43.63°, rel. 45, hkl 2 0 2
53.83°, rel. 42, hkl 1 2 2
21.42°, rel. 25, hkl 1 0 1
53.20°, rel. 21, hkl 3 0 0
71.16°, rel. 19, hkl 3 1 2
55.72°, rel. 16, hkl 1 0 4
62.26°, rel. 15, hkl 2 2 0
72.78°, rel. 15, hkl 2 1 4

Structural model:
Lattice parameters (Å, degrees): 5.9647 5.9647 6.9634 90.00 90.00 120.00
Space group P-3m1 (No. 164)
Symmetry-distinct sites (fractional):
Ac  0.0000  0.0000  0.0000 [1 per cell]
Ac  0.3333  0.6667  0.6758 [2 per cell]
Pa  0.0000  0.0000  0.5000 [1 per cell]
Mn  0.3333  0.6667  0.2054 [2 per cell]
N  0.1718  0.3436  0.3004 [6 per cell]

Ac3TbMn2N6: theoretical X-ray powder pattern (copper Kα), based on a structure optimized by DFT (PBE).
Neutral-atom scattering factors, no anomalous dispersion.

Peak list (10 most intense, 2θ = 15–90°, in order of falling intensity)
29.91°, rel. 100, hkl 1 1 0
31.05°, rel. 93, hkl 0 1 2
43.66°, rel. 44, hkl 2 0 2
53.83°, rel. 40, hkl 1 2 2
21.43°, rel. 36, hkl 1 0 1
53.11°, rel. 22, hkl 3 0 0
71.11°, rel. 18, hkl 3 1 2
37.10°, rel. 17, hkl 0 2 1
62.16°, rel. 16, hkl 2 2 0
55.95°, rel. 16, hkl 1 0 4

Structural model:
Lattice parameters (Å, degrees): 5.9739 5.9739 6.9331 90.00 90.00 120.00
Space group P-3m1 (No. 164)
Symmetry-distinct sites (fractional):
Ac  0.0000  0.0000  0.0000 [1 per cell]
Ac  0.3333  0.6667  0.6699 [2 per cell]
Tb  0.0000  0.0000  0.5000 [1 per cell]
Mn  0.3333  0.6667  0.2071 [2 per cell]
N  0.1741  0.3481  0.2893 [6 per cell]

AcThMnN4: theoretical X-ray powder pattern (copper Kα), based on a structure optimized by DFT (PBE).
Neutral-atom scattering factors, no anomalous dispersion.

Peak list (10 most intense, 2θ = 15–90°, in order of falling intensity)
30.90°, rel. 100, hkl 1 0 3
33.78°, rel. 54, hkl 1 1 0
24.61°, rel. 39, hkl 1 0 1
58.65°, rel. 34, hkl 2 1 3
52.99°, rel. 34, hkl 1 0 7
43.20°, rel. 31, hkl 1 1 4
48.53°, rel. 23, hkl 2 0 0
26.13°, rel. 22, hkl 0 0 4
74.65°, rel. 15, hkl 2 1 7
55.94°, rel. 12, hkl 2 0 4

Structural model:
Lattice parameters (Å, degrees): 3.7521 3.7521 13.6400 90.00 90.00 90.00
Space group I4mm (No. 107)
Symmetry-distinct sites (fractional):
Ac  0.0000  0.0000  0.0000 [2 per cell]
Th  0.0000  0.0000  0.7123 [2 per cell]
Mn  0.0000  0.0000  0.3382 [2 per cell]
N  0.0000  0.0000  0.1934 [2 per cell]
N  0.0000  0.0000  0.5440 [2 per cell]
N  0.0000  0.5000  0.3450 [4 per cell]

Ac2TmMn2N6: theoretical X-ray powder pattern (copper Kα), based on a structure optimized by DFT (PBE).
Neutral-atom scattering factors, no anomalous dispersion.

Peak list (10 most intense, 2θ = 15–90°, in order of falling intensity)
31.37°, rel. 100, hkl 1 1 0
30.62°, rel. 98, hkl 0 1 5
44.40°, rel. 38, hkl 2 0 5
55.37°, rel. 37, hkl 1 2 5
26.72°, rel. 34, hkl 1 0 4
18.62°, rel. 20, hkl 1 0 1
55.83°, rel. 20, hkl 3 0 0
55.95°, rel. 20, hkl 1 1 9
41.66°, rel. 19, hkl 0 2 4
73.98°, rel. 16, hkl 3 1 5

Structural model:
Lattice parameters (Å, degrees): 5.7040 5.7040 18.0964 90.00 90.00 120.00
Space group R-3m (No. 166, hexagonal axes)
Symmetry-distinct sites (fractional):
Ac  0.0000  0.0000  0.2152 [6 per cell]
Tm  0.0000  0.0000  0.0000 [3 per cell]
Mn  0.0000  0.0000  0.4019 [6 per cell]
N  0.0026  0.5013  0.2423 [18 per cell]

AcU2MnN5: theoretical X-ray powder pattern (copper Kα), based on a structure optimized by DFT (PBE).
Neutral-atom scattering factors, no anomalous dispersion.

Peak list (10 most intense, 2θ = 15–90°, in order of falling intensity)
31.63°, rel. 100, hkl 0 0 2
34.57°, rel. 45, hkl 2 1 1
24.89°, rel. 28, hkl 1 1 1
44.59°, rel. 28, hkl 2 1 2
30.63°, rel. 23, hkl 2 1 0
43.86°, rel. 19, hkl 3 1 0
58.24°, rel. 16, hkl 4 1 0
55.06°, rel. 15, hkl 3 1 2
56.32°, rel. 14, hkl 2 0 3
62.57°, rel. 14, hkl 3 3 1

Structural model:
Lattice parameters (Å, degrees): 6.5272 6.5272 5.6614 90.00 90.00 90.00
Space group P4/mbm (No. 127)
Symmetry-distinct sites (fractional):
Ac  0.0000  0.0000  0.0000 [2 per cell]
U  0.1727  0.3273  0.5000 [4 per cell]
Mn  0.0000  0.5000  0.0000 [2 per cell]
N  0.0000  0.0000  0.5000 [2 per cell]
N  0.1463  0.6463  0.2471 [8 per cell]

AcNpMn: theoretical X-ray powder pattern (copper Kα), based on a structure optimized by DFT (PBE).
Neutral-atom scattering factors, no anomalous dispersion.

Peak list (10 most intense, 2θ = 15–90°, in order of falling intensity)
33.28°, rel. 100, hkl 1 2 0
27.77°, rel. 95, hkl 0 1 2
28.87°, rel. 94, hkl 2 0 0
30.61°, rel. 60, hkl 2 0 -2
34.17°, rel. 57, hkl 2 1 -2
32.59°, rel. 55, hkl 2 1 0
56.32°, rel. 53, hkl 4 0 -2
31.39°, rel. 39, hkl 1 0 2
38.05°, rel. 36, hkl 1 2 -2
38.26°, rel. 33, hkl 0 2 2

Structural model:
Lattice parameters (Å, degrees): 6.5554 5.9809 8.0735 90.00 109.34 90.00
Space group P2_1/c (No. 14)
Symmetry-distinct sites (fractional):
Ac  0.0717  0.2352  0.3919 [4 per cell]
Np  0.4871  0.5582  0.6986 [4 per cell]
Mn  0.3910  0.7045  0.9861 [4 per cell]